Simulated XRD peak list of Li2VCrP4O14 for Cu Ka, from DFT lattice parameters and positions (PBE+U).
Lines closer than 0.1° are merged.

Structure:
Cell lengths 7.179, 9.586, 9.588 Å; angles 118.75, 100.94, 100.90 degrees
Sites, in units of the cell vectors:
Li 0.000 0.000 0.000
Li 0.001 0.504 0.504
Li 0.341 0.245 0.745
Li 0.344 0.746 0.245
V 0.400 0.076 0.937
V 0.943 0.812 0.171
Cr 0.399 0.576 0.435
Cr 0.944 0.311 0.671
P 0.146 0.346 0.026
P 0.149 0.846 0.526
P 0.195 0.720 0.900
P 0.196 0.223 0.402
P 0.585 0.776 0.850
P 0.586 0.278 0.355
P 0.757 0.395 0.968
P 0.757 0.895 0.471
O 0.066 0.553 0.737
O 0.069 0.057 0.238
O 0.154 0.238 0.559
O 0.156 0.737 0.059
O 0.159 0.359 0.874
O 0.166 0.861 0.377
O 0.178 0.870 0.886
O 0.183 0.374 0.388
O 0.187 0.188 0.009
O 0.190 0.689 0.511
O 0.275 0.011 0.693
O 0.276 0.510 0.191
O 0.426 0.725 0.932
O 0.427 0.227 0.436
O 0.523 0.135 0.171
O 0.524 0.634 0.667
O 0.555 0.293 0.952
O 0.556 0.788 0.455
O 0.587 0.946 0.870
O 0.588 0.447 0.374
O 0.752 0.874 0.302
O 0.757 0.376 0.800
O 0.787 0.794 0.955
O 0.788 0.293 0.459
O 0.817 0.078 0.613
O 0.822 0.578 0.112
O 0.915 0.313 0.021
O 0.918 0.813 0.521

Main lines, by angle (2θ = 10–90°):
2θ/deg  d/Å  I/Imax
17.10  5.184  1000
22.00  4.040  214
22.38  3.973  492
25.40  3.507  188
26.67  3.342  234
28.82  3.098  204
28.94  3.085  198
29.27  3.051  562
29.69  3.009  274
34.59  2.593  165
39.50  2.281  119
43.20  2.094  131